[1]
Simulated powder XRD pattern of Ca3Lu for Cu Ka, from a PBE-relaxed structure.
Peak positions follow from Bragg's law for the DFT cell and can differ from measured ones.

Structure:
Lattice parameters (Å, degrees): 5.362 5.362 5.362 90.00 90.00 90.00
Fractional positions:
Ca  0.000  0.000  0.500
Ca  0.000  0.500  0.000
Ca  0.500  0.000  0.000
Lu  0.500  0.500  0.500

Main lines, low angle first (10 to 90 degrees two-theta):
- d 5.362, I = 50
- d 3.791, I = 46
- d 3.096, I = 100
- d 2.681, I = 50
- d 2.398, I = 28
- d 2.189, I = 22
- d 1.896, I = 35
- d 1.787, I = 15
- d 1.617, I = 42
- d 1.230, I = 16

[2]
Simulated powder XRD pattern of AuI5N for Cu Ka, from a PBE-relaxed structure.
Peak positions follow from Bragg's law for the DFT cell and can differ from measured ones.

Structure:
Lattice parameters (Å, degrees): 13.534 21.644 7.435 90.00 90.00 90.00
Fractional positions:
Au  0.000  0.000  0.000
Au  0.000  0.500  0.000
Au  0.083  0.250  0.262
Au  0.417  0.750  0.762
Au  0.500  0.000  0.500
Au  0.500  0.500  0.500
Au  0.583  0.250  0.238
Au  0.917  0.750  0.738
I  0.022  0.750  0.439
I  0.067  0.056  0.702
I  0.067  0.444  0.702
I  0.086  0.129  0.262
I  0.086  0.371  0.262
I  0.167  0.686  0.048
I  0.167  0.814  0.048
I  0.186  0.250  0.959
I  0.187  0.534  0.088
I  0.187  0.966  0.088
I  0.313  0.034  0.588
I  0.313  0.466  0.588
I  0.314  0.750  0.459
I  0.333  0.186  0.548
I  0.333  0.314  0.548
I  0.414  0.629  0.762
I  0.414  0.871  0.762
I  0.433  0.556  0.202
I  0.433  0.944  0.202
I  0.478  0.250  0.939
I  0.522  0.750  0.061
I  0.567  0.056  0.798
I  0.567  0.444  0.798
I  0.586  0.129  0.238
I  0.586  0.371  0.238
I  0.667  0.686  0.452
I  0.667  0.814  0.452
I  0.686  0.250  0.541
I  0.687  0.534  0.412
I  0.687  0.966  0.412
I  0.813  0.034  0.912
I  0.813  0.466  0.912
I  0.814  0.750  0.041
I  0.833  0.186  0.952
I  0.833  0.314  0.952
I  0.914  0.629  0.738
I  0.914  0.871  0.738
I  0.933  0.556  0.298
I  0.933  0.944  0.298
I  0.978  0.250  0.561
N  0.169  0.612  0.528
N  0.169  0.888  0.528
N  0.331  0.112  0.028
N  0.331  0.388  0.028
N  0.669  0.612  0.972
N  0.669  0.888  0.972
N  0.831  0.112  0.472
N  0.831  0.388  0.472

Main lines, low angle first (10 to 90 degrees two-theta):
- d 5.583, I = 55
- d 5.411, I = 88
- d 5.005, I = 61
- d 3.634, I = 75
- d 3.223, I = 100
- d 3.156, I = 57
- d 3.064, I = 61
- d 2.963, I = 71
- d 2.793, I = 75
- d 1.928, I = 61

[3]
Simulated powder XRD pattern of BaLiAl3P2H2O14 for Cu Ka, from a PBE-relaxed structure.
Peak positions follow from Bragg's law for the DFT cell and can differ from measured ones.

Structure:
Lattice parameters (Å, degrees): 6.615 7.159 7.569 93.52 115.83 117.51
Fractional positions:
Ba  0.000  0.000  0.000
Li  0.690  0.151  0.234
Al  0.004  0.999  0.504
Al  0.498  0.001  0.505
Al  0.506  0.506  0.510
P  0.408  0.692  0.129
P  0.586  0.306  0.871
H  0.023  0.698  0.348
H  0.980  0.310  0.651
O  0.151  0.840  0.463
O  0.198  0.222  0.409
O  0.245  0.598  0.897
O  0.277  0.156  0.782
O  0.354  0.861  0.218
O  0.369  0.509  0.235
O  0.432  0.224  0.410
O  0.577  0.789  0.601
O  0.643  0.507  0.786
O  0.659  0.158  0.783
O  0.721  0.859  0.217
O  0.737  0.376  0.108
O  0.809  0.787  0.600
O  0.849  0.170  0.529

Main lines, low angle first (10 to 90 degrees two-theta):
- d 5.996, I = 52
- d 5.627, I = 100
- d 3.565, I = 47
- d 3.308, I = 32
- d 3.140, I = 59
- d 3.097, I = 45
- d 2.942, I = 27
- d 2.509, I = 34
- d 2.502, I = 20
- d 1.782, I = 28

[4]
Simulated powder XRD pattern of BaAl2Te4 for Cu Ka, from a PBE-relaxed structure.
Peak positions follow from Bragg's law for the DFT cell and can differ from measured ones.

Structure:
Lattice parameters (Å, degrees): 8.695 8.695 6.735 90.00 90.00 90.00
Fractional positions:
Ba  0.000  0.000  0.000
Ba  0.500  0.500  0.500
Al  0.000  0.500  0.000
Al  0.000  0.500  0.500
Al  0.500  0.000  0.000
Al  0.500  0.000  0.500
Te  0.167  0.333  0.250
Te  0.167  0.667  0.750
Te  0.333  0.167  0.750
Te  0.333  0.833  0.250
Te  0.667  0.167  0.250
Te  0.667  0.833  0.750
Te  0.833  0.333  0.750
Te  0.833  0.667  0.250

Main lines, low angle first (10 to 90 degrees two-theta):
- d 5.325, I = 16
- d 3.368, I = 100
- d 3.074, I = 12
- d 2.750, I = 18
- d 2.662, I = 33
- d 2.013, I = 22
- d 1.944, I = 26
- d 1.751, I = 15
- d 1.537, I = 11
- d 1.273, I = 14

Which formula does entry 3 have? BaLiAl3P2H2O14